Record 1
Calculated powder diffraction line list
Compound: Er2B6O
Radiation: λ = 1.5418 Å (Cu Kα)
Structure: a DFT-relaxed cell (GGA-PBE, OQMD)

Top 10 peaks for 10° ≤ 2θ ≤ 90°, low angle first:
(hkl), 2theta, d_spacing, Rel. int.
2 0 -1, 20.58, 4.315, 91
0 0 2, 27.25, 3.272, 68
1 1 0, 28.37, 3.146, 31
1 1 -1, 29.10, 3.069, 100
2 0 1, 31.83, 2.811, 44
1 1 1, 33.85, 2.648, 83
1 1 -2, 35.69, 2.516, 35
2 0 -3, 36.80, 2.443, 46
3 1 -2, 42.27, 2.138, 59
3 1 0, 43.85, 2.064, 53

```
data_Er2B6O
_cell_length_a 8.7228
_cell_length_b 3.4428
_cell_length_c 7.3767
_cell_angle_alpha 90.00
_cell_angle_beta 117.47
_cell_angle_gamma 90.00
_symmetry_space_group_name_H-M 'C 1 2 1'
_symmetry_Int_Tables_number 5
_symmetry_space_group_name_Hall 'C 2y'
loop_
_atom_site_label
_atom_site_fract_x
_atom_site_fract_y
_atom_site_fract_z
Er1 0.1682 0.0000 0.2671
B1 0.0224 0.4938 0.3891
B2 0.1059 0.4463 0.8665
B3 0.1897 0.9652 0.9346
O1 0.0000 0.8222 0.5000
```

---

Record 2
Calculated powder diffraction line list
Compound: Y2Cu2SiSn
Radiation: λ = 1.5418 Å (Cu Kα)
Structure: a DFT-relaxed cell (GGA-PBE, OQMD)

Top 10 peaks for 10° ≤ 2θ ≤ 90°, low angle first:
(hkl), 2theta, d_spacing, Rel. int.
0 0 1, 11.76, 7.523, 10
0 0 2, 23.72, 3.751, 13
1 0 2, 33.77, 2.654, 100
1 1 0, 41.76, 2.163, 55
0 0 4, 48.40, 1.881, 11
2 0 2, 54.75, 1.677, 24
1 1 4, 65.80, 1.419, 26
2 1 2, 71.15, 1.325, 22
3 0 0, 76.25, 1.249, 9
1 0 6, 80.84, 1.189, 7

```
data_Y2Cu2SiSn
_cell_length_a 4.3257
_cell_length_b 4.3257
_cell_length_c 7.5233
_cell_angle_alpha 90.00
_cell_angle_beta 90.00
_cell_angle_gamma 120.00
_symmetry_space_group_name_H-M 'P -6 m 2'
_symmetry_Int_Tables_number 187
_symmetry_space_group_name_Hall 'P -6 2'
loop_
_atom_site_label
_atom_site_fract_x
_atom_site_fract_y
_atom_site_fract_z
Y1 0.0000 0.0000 0.2383
Cu1 0.3333 0.6667 0.0000
Cu2 0.6667 0.3333 0.5000
Si1 0.6667 0.3333 0.0000
Sn1 0.3333 0.6667 0.5000
```